No. 1
Diffraction record for BaCeEuCrO6. The powder diffractogram is theoretical, not measured: it uses a DFT-relaxed cell (PBE+U, the Materials Project) and Cu Kα (weighted mean of Kα1 and Kα2).
Kinematic intensities with the Lorentz-polarization factor, no thermal factor.

Cell and atoms:
a b c (Å): 8.300 8.300 8.300
angles (deg): 90.00 90.00 90.00
Space group F-43m (No. 216)
Asymmetric unit:
Ba  0.000  0.000  0.000 x4
Ce  0.250  0.250  0.250 x4
Eu  0.000  0.000  0.500 x4
Cr  0.250  0.250  0.750 x4
O  0.015  0.250  0.750 x24

The 10 most intense peaks (2θ from 15° to 90°), in order of rising 2θ:
| Position (°2θ) | intensity | index |
| --- | --- | --- |
| 18.52 | 6.6 | 1 1 1 |
| 30.46 | 100.0 | 2 2 0 |
| 35.88 | 5.4 | 3 1 1 |
| 37.54 | 6.8 | 2 2 2 |
| 43.62 | 30.3 | 4 0 0 |
| 54.13 | 39.4 | 4 2 2 |
| 63.39 | 18.5 | 4 4 0 |
| 71.95 | 17.4 | 6 2 0 |
| 80.11 | 6.1 | 4 4 4 |
| 88.06 | 21.2 | 6 4 2 |

***

No. 2
Diffraction record for LiMnB2O5. The powder diffractogram is theoretical, not measured: it uses a DFT-relaxed cell (PBE+U, the Materials Project) and Cu Kα (weighted mean of Kα1 and Kα2).
Kinematic intensities with the Lorentz-polarization factor, no thermal factor.

Cell and atoms:
a b c (Å): 9.581 10.745 9.507
angles (deg): 90.00 115.24 90.00
Space group C2/c (No. 15)
Asymmetric unit:
Li  0.000  0.108  0.250 x4
Li  0.000  0.332  0.750 x4
Mn  0.204  0.342  0.152 x8
B  0.070  0.166  0.523 x8
B  0.235  0.492  0.903 x8
O  0.056  0.205  0.103 x8
O  0.120  0.214  0.669 x8
O  0.149  0.067  0.487 x8
O  0.171  0.395  0.948 x8
O  0.183  0.489  0.246 x8

The 10 most intense peaks (2θ from 15° to 90°), in order of rising 2θ:
| Position (°2θ) | intensity | index |
| --- | --- | --- |
| 19.23 | 25.0 | 1 1 1 |
| 19.48 | 28.4 | 0 2 1 |
| 20.49 | 35.6 | 2 0 0 |
| 22.06 | 31.0 | 2 0 -2 |
| 24.95 | 100.0 | 2 2 -1 |
| 27.67 | 21.9 | 2 2 -2 |
| 29.54 | 20.7 | 1 1 -3 |
| 31.30 | 11.3 | 1 3 -2 |
| 32.08 | 11.8 | 3 1 0 |
| 38.52 | 26.5 | 3 3 -2 |

***

No. 3
Diffraction record for BaMnOF5. The powder diffractogram is theoretical, not measured: it uses a DFT-relaxed cell (PBE+U, the Materials Project) and Cu Kα (weighted mean of Kα1 and Kα2).
Kinematic intensities with the Lorentz-polarization factor, no thermal factor.

Cell and atoms:
a b c (Å): 5.624 8.077 6.310
angles (deg): 90.00 111.46 90.00
Space group P2_1/m (No. 11)
Asymmetric unit:
Ba  0.093  0.250  0.377 x2
Mn  0.500  0.000  0.000 x2
O  0.330  0.750  0.425 x2
F  0.211  0.032  0.723 x4
F  0.295  0.036  0.172 x4
F  0.390  0.750  0.965 x2

The 10 most intense peaks (2θ from 15° to 90°), in order of rising 2θ:
| Position (°2θ) | intensity | index |
| --- | --- | --- |
| 18.11 | 51.6 | 1 0 -1 |
| 18.68 | 72.1 | 0 1 1 |
| 21.22 | 100.0 | 1 1 -1 |
| 26.64 | 79.9 | 1 0 1 |
| 26.79 | 97.1 | 0 2 1 |
| 27.90 | 72.3 | 1 2 0 |
| 36.08 | 41.6 | 2 1 0 |
| 43.21 | 40.5 | 2 2 -2 |
| 44.89 | 34.4 | 0 4 0 |
| 48.51 | 44.2 | 2 2 1 |

***

No. 4
Diffraction record for LiFeP3O9. The powder diffractogram is theoretical, not measured: it uses a DFT-relaxed cell (PBE+U, the Materials Project) and Cu Kα (weighted mean of Kα1 and Kα2).
Kinematic intensities with the Lorentz-polarization factor, no thermal factor.

Cell and atoms:
a b c (Å): 10.3204 10.3204 6.7952
angles (deg): 90.00 90.00 120.00
Space group R3 (No. 146, hexagonal axes)
Asymmetric unit:
Li  0.0000  0.0000  0.0000 x3
Fe  0.0000  0.0000  0.4658 x3
P  0.1084  0.3442  0.3353 x9
O  0.0554  0.3450  0.5570 x9
O  0.0781  0.1905  0.2759 x9
O  0.1891  0.1177  0.6534 x9

The 10 most intense peaks (2θ from 15° to 90°), in order of rising 2θ:
| Position (°2θ) | intensity | index |
| --- | --- | --- |
| 16.39 | 100.0 | 1 0 1 |
| 17.18 | 60.9 | 1 1 0 |
| 23.83 | 14.3 | 0 2 1 |
| 29.53 | 38.9 | 3 -1 1 |
| 29.99 | 7.5 | 3 0 0 |
| 33.12 | 26.4 | 2 0 2 |
| 38.66 | 16.3 | 4 -3 1 |
| 43.64 | 7.8 | 2 -1 3 |
| 45.28 | 14.3 | 4 -1 2 |
| 65.19 | 9.4 | 2 5 0 |